Record 1
# V2Cd3O8
Computed XRD peak list, Cu Ka. Input: a DFT-relaxed cell (PBE+U, the Materials Project).
Neutral-atom scattering factors, no anomalous dispersion.

Structural model:
Cell lengths 7.0645, 5.4202, 10.0507 Å; angles 90.00, 90.00, 90.00 degrees
Element x y z (fractional)
V1 0.0000 0.2413 0.0000
V2 0.0000 0.7587 0.5000
V3 0.5000 0.2560 0.6384
V4 0.5000 0.7440 0.1384
Cd1 0.0000 0.2495 0.6679
Cd2 0.0000 0.7505 0.1679
Cd3 0.2599 0.2500 0.3200
Cd4 0.2599 0.7500 0.8200
Cd5 0.7401 0.2500 0.3200
Cd6 0.7401 0.7500 0.8200
O1 0.0000 0.1692 0.1790
O2 0.0000 0.4371 0.4538
O3 0.0000 0.5629 0.9538
O4 0.0000 0.8308 0.6790
O5 0.1909 0.1001 0.9328
O6 0.1909 0.8999 0.4328
O7 0.2907 0.3956 0.6980
O8 0.2907 0.6044 0.1980
O9 0.5000 0.0504 0.1868
O10 0.5000 0.2959 0.4652
O11 0.5000 0.7041 0.9652
O12 0.5000 0.9496 0.6868
O13 0.7093 0.3956 0.6980
O14 0.7093 0.6044 0.1980
O15 0.8091 0.1001 0.9328
O16 0.8091 0.8999 0.4328

The 10 most intense peaks (10 to 90 degrees two-theta), low angle first:
two_theta	intensity
12.53	27
17.65	29
18.60	47
30.94	76
31.39	100
31.51	98
33.05	43
45.91	45
55.24	28
58.07	27

Record 2
# VRe2O9
Computed XRD peak list, Cu Ka. Input: a DFT-relaxed cell (PBE+U, the Materials Project).
Neutral-atom scattering factors, no anomalous dispersion.

Structural model:
Cell lengths 8.1420, 8.1420, 9.1799 Å; angles 90.00, 90.00, 138.78 degrees
Element x y z (fractional)
V1 0.1199 0.8801 0.5000
V2 0.8801 0.1199 0.0000
Re1 0.2295 0.7705 0.9125
Re2 0.4839 0.5161 0.5920
Re3 0.5161 0.4839 0.0920
Re4 0.7705 0.2295 0.4125
O1 0.0336 0.4546 0.9565
O2 0.0692 0.9308 0.3483
O3 0.1364 0.8636 0.0189
O4 0.1950 0.2982 0.1022
O5 0.1986 0.8014 0.7292
O6 0.2982 0.1950 0.6022
O7 0.4092 0.5908 0.7343
O8 0.4264 0.5736 0.4299
O9 0.4546 0.0336 0.4565
O10 0.5454 0.9664 0.9565
O11 0.5736 0.4264 0.9299
O12 0.5908 0.4092 0.2343
O13 0.7018 0.8050 0.1022
O14 0.8014 0.1986 0.2292
O15 0.8050 0.7018 0.6022
O16 0.8636 0.1364 0.5189
O17 0.9308 0.0692 0.8483
O18 0.9664 0.5454 0.4565

The 10 most intense peaks (10 to 90 degrees two-theta), low angle first:
two_theta	intensity
19.16	61
19.34	35
22.61	99
23.38	100
25.35	90
25.54	45
30.53	29
31.21	35
38.79	27
38.89	29

Record 3
# CoTePb2O4
Computed XRD peak list, Cu Ka. Input: a DFT-relaxed cell (PBE+U, the Materials Project).
Neutral-atom scattering factors, no anomalous dispersion.

Structural model:
Cell lengths 6.1612, 6.1612, 5.1241 Å; angles 113.91, 113.91, 55.21 degrees
Element x y z (fractional)
Co1 0.0000 0.0000 0.0000
Te1 0.5000 0.5000 0.5000
Pb1 0.2432 0.2432 0.7300
Pb2 0.7568 0.7568 0.2700
O1 0.1428 0.6655 0.6817
O2 0.3345 0.8572 0.3183
O3 0.6655 0.1428 0.6817
O4 0.8572 0.3345 0.3183

The 10 most intense peaks (10 to 90 degrees two-theta), low angle first:
two_theta	intensity
23.33	24
29.64	98
29.94	100
31.33	34
35.03	26
37.03	23
47.70	35
49.27	28
54.73	19
54.91	17

Record 4
# Li3FePCO7
Computed XRD peak list, Cu Ka. Input: a DFT-relaxed cell (PBE+U, the Materials Project).
Neutral-atom scattering factors, no anomalous dispersion.

Structural model:
Cell lengths 6.4661, 8.5398, 10.0261 Å; angles 95.40, 90.19, 90.52 degrees
Element x y z (fractional)
Li1 0.0000 0.0000 0.0000
Li2 0.9996 0.0151 0.4871
Li3 0.0083 0.5660 0.2544
Li4 0.2194 0.1906 0.2471
Li5 0.2251 0.1889 0.7538
Li6 0.2611 0.6321 0.4841
Li7 0.2646 0.6355 0.0151
Li8 0.4893 0.8139 0.2565
Li9 0.4941 0.8131 0.7635
Li10 0.7333 0.6362 0.0157
Li11 0.7695 0.1885 0.7548
Li12 0.7775 0.1893 0.2484
Fe1 0.4983 0.2447 0.4792
Fe2 0.4982 0.2454 0.9843
Fe3 0.7578 0.6515 0.4917
Fe4 0.9984 0.5744 0.7749
P1 0.9997 0.3238 0.5186
P2 0.4974 0.4990 0.2391
P3 0.5000 0.5006 0.7357
P4 0.9987 0.3214 0.0175
C1 0.4981 0.9458 0.0276
C2 0.5008 0.9467 0.5274
C3 0.9906 0.8755 0.7235
C4 0.9936 0.8718 0.2303
O1 0.0001 0.3362 0.1719
O2 0.0000 0.3396 0.6751
O3 0.0000 0.4882 0.9685
O4 0.0008 0.8422 0.8462
O5 0.0058 0.4883 0.4672
O6 0.1853 0.2208 0.9606
O7 0.1851 0.2216 0.4647
O8 0.3118 0.6013 0.2874
O9 0.3115 0.6026 0.7850
O10 0.4948 0.3319 0.2871
O11 0.4974 0.0594 0.1238
O12 0.4968 0.0597 0.6236
O13 0.4966 0.3354 0.7850
O14 0.4976 0.9781 0.4048
O15 0.4979 0.9811 0.9046
O16 0.4987 0.8000 0.0561
O17 0.5046 0.4812 0.0823
O18 0.5073 0.8000 0.5584
O19 0.5083 0.4840 0.5782
O20 0.6863 0.6035 0.7922
O21 0.6915 0.5968 0.2934
O22 0.8104 0.2196 0.9609
O23 0.8112 0.2215 0.4650
O24 0.9795 0.7555 0.6295
O25 0.9882 0.8400 0.3540
O26 0.9955 0.0170 0.6895
O27 0.9955 0.7607 0.1323
O28 0.9984 0.0190 0.2014

The 10 most intense peaks (10 to 90 degrees two-theta), low angle first:
two_theta	intensity
10.41	97
19.76	33
21.48	34
25.66	31
26.23	40
27.59	100
35.05	21
35.99	28
36.56	34
56.97	22

Record 5
# Mo5PbO8
Computed XRD peak list, Cu Ka. Input: a DFT-relaxed cell (PBE+U, the Materials Project).
Neutral-atom scattering factors, no anomalous dispersion.

Structural model:
Cell lengths 8.4790, 9.9200, 10.7442 Å; angles 90.00, 109.32, 90.00 degrees
Element x y z (fractional)
Mo1 0.0068 0.1548 0.1034
Mo2 0.0068 0.3452 0.6034
Mo3 0.2020 0.1208 0.8786
Mo4 0.2020 0.3792 0.3786
Mo5 0.2097 0.6360 0.7199
Mo6 0.2097 0.8640 0.2199
Mo7 0.3951 0.6412 0.5149
Mo8 0.3951 0.8588 0.0149
Mo9 0.4137 0.1303 0.2013
Mo10 0.4137 0.3697 0.7013
Mo11 0.5863 0.6303 0.2987
Mo12 0.5863 0.8697 0.7987
Mo13 0.6049 0.1412 0.9851
Mo14 0.6049 0.3588 0.4851
Mo15 0.7903 0.1360 0.7801
Mo16 0.7903 0.3640 0.2801
Mo17 0.7980 0.6208 0.6214
Mo18 0.7980 0.8792 0.1214
Mo19 0.9932 0.6548 0.3966
Mo20 0.9932 0.8452 0.8966
Pb1 0.3075 0.0384 0.5313
Pb2 0.3075 0.4616 0.0313
Pb3 0.6925 0.5384 0.9687
Pb4 0.6925 0.9616 0.4687
O1 0.0070 0.2201 0.9274
O2 0.0070 0.2799 0.4274
O3 0.0107 0.0004 0.2223
O4 0.0107 0.4996 0.7223
O5 0.1911 0.7421 0.8848
O6 0.1911 0.7579 0.3848
O7 0.2103 0.2457 0.7197
O8 0.2103 0.2543 0.2197
O9 0.3834 0.7363 0.1719
O10 0.3834 0.7637 0.6719
O11 0.3982 0.2356 0.0200
O12 0.3982 0.2644 0.5200
O13 0.4047 0.5087 0.8521
O14 0.4047 0.9913 0.3521
O15 0.4158 0.0019 0.8645
O16 0.4158 0.4981 0.3645
O17 0.5842 0.5019 0.6355
O18 0.5842 0.9981 0.1355
O19 0.5953 0.0087 0.6479
O20 0.5953 0.4913 0.1479
O21 0.6018 0.7356 0.4800
O22 0.6018 0.7644 0.9800
O23 0.6166 0.2363 0.3281
O24 0.6166 0.2637 0.8281
O25 0.7897 0.7457 0.7803
O26 0.7897 0.7543 0.2803
O27 0.8089 0.2421 0.6152
O28 0.8089 0.2579 0.1152
O29 0.9893 0.9996 0.7777
O30 0.9893 0.5004 0.2777
O31 0.9930 0.7201 0.5726
O32 0.9930 0.7799 0.0726

The 10 most intense peaks (10 to 90 degrees two-theta), low angle first:
two_theta	intensity
26.57	34
27.89	44
28.39	100
30.89	62
32.18	88
32.35	28
33.61	40
42.60	31
57.41	34
57.78	26

- Number 5 is which compound?
  Mo5PbO8